Record 1
Theoretical powder XRD pattern
Compound: Ca2Fe9O13
Radiation: Cu Ka
Structure: a crystal structure in Alexandria, relaxed with GGA+U
Lines closer than 0.1° are merged.

Structural model:
Cell: 5.244 5.244 16.634 Å, 98.04 98.04 33.40°
Atoms (fractional coordinates):
1 Ca 0.218 0.218 0.223
2 Ca 0.782 0.782 0.777
3 Fe 0.001 0.001 0.332
4 Fe 0.062 0.062 0.882
5 Fe 0.243 0.243 0.579
6 Fe 0.354 0.354 0.961
7 Fe 0.500 0.500 0.500
8 Fe 0.646 0.646 0.039
9 Fe 0.757 0.757 0.421
10 Fe 0.938 0.938 0.118
11 Fe 0.999 0.999 0.668
12 O 0.000 0.000 0.000
13 O 0.111 0.111 0.775
14 O 0.116 0.116 0.467
15 O 0.303 0.303 0.077
16 O 0.364 0.364 0.684
17 O 0.395 0.395 0.392
18 O 0.434 0.434 0.859
19 O 0.566 0.566 0.141
20 O 0.605 0.605 0.608
21 O 0.636 0.636 0.316
22 O 0.697 0.697 0.923
23 O 0.884 0.884 0.533
24 O 0.889 0.889 0.225

Largest 10 diffraction maxima, in order of falling intensity, 5 to 70 degrees two-theta:
| d (Å) | 2θ/deg | I (rel.) |
| --- | --- | --- |
| 2.140 | 42.23 | 100 |
| 2.510 | 35.77 | 100 |
| 2.565 | 34.98 | 92 |
| 8.228 | 10.75 | 92 |
| 2.576 | 34.83 | 89 |
| 2.100 | 43.07 | 65 |
| 2.181 | 41.41 | 57 |
| 2.207 | 40.89 | 51 |
| 1.507 | 61.54 | 49 |
| 2.046 | 44.27 | 43 |



Record 2
Theoretical powder XRD pattern
Compound: CaFe2P2O10
Radiation: Cu Ka
Structure: a crystal structure in Alexandria, relaxed with GGA+U
Lines closer than 0.1° are merged.

Structural model:
Cell: 9.815 8.629 6.976 Å, 77.14 58.99 43.87°
Atoms (fractional coordinates):
1 Ca 0.125 0.125 0.125
2 Ca 0.875 0.875 0.875
3 Fe 0.000 0.500 0.500
4 Fe 0.500 0.000 0.500
5 Fe 0.500 0.500 0.000
6 Fe 0.500 0.500 0.500
7 P 0.082 0.082 0.668
8 P 0.332 0.332 0.918
9 P 0.668 0.668 0.082
10 P 0.918 0.918 0.332
11 O 0.058 0.224 0.483
12 O 0.116 0.430 0.156
13 O 0.156 0.798 0.116
14 O 0.202 0.844 0.570
15 O 0.224 0.058 0.735
16 O 0.265 0.517 0.776
17 O 0.305 0.305 0.445
18 O 0.430 0.116 0.798
19 O 0.445 0.445 0.305
20 O 0.483 0.735 0.058
21 O 0.517 0.265 0.942
22 O 0.555 0.555 0.695
23 O 0.570 0.884 0.202
24 O 0.695 0.695 0.555
25 O 0.735 0.483 0.224
26 O 0.776 0.942 0.265
27 O 0.798 0.156 0.430
28 O 0.844 0.202 0.884
29 O 0.884 0.570 0.844
30 O 0.942 0.776 0.517

Largest 10 diffraction maxima, in order of falling intensity, 5 to 70 degrees two-theta:
| d (Å) | 2θ/deg | I (rel.) |
| --- | --- | --- |
| 2.895 | 30.89 | 100 |
| 2.794 | 32.04 | 72 |
| 3.399 | 26.22 | 65 |
| 3.116 | 28.65 | 41 |
| 2.436 | 36.90 | 32 |
| 1.657 | 55.45 | 25 |
| 1.730 | 52.93 | 25 |
| 1.998 | 45.38 | 22 |
| 3.997 | 22.24 | 21 |
| 5.788 | 15.31 | 18 |



Record 3
Theoretical powder XRD pattern
Compound: Ca2Fe3SbP6O24
Radiation: Cu Ka
Structure: a crystal structure in Alexandria, relaxed with GGA+U
Lines closer than 0.1° are merged.

Structural model:
Cell: 8.901 8.901 8.901 Å, 58.24 58.24 58.24°
Atoms (fractional coordinates):
1 Ca 0.000 0.000 0.000
2 Ca 0.495 0.495 0.495
3 Fe 0.147 0.147 0.147
4 Fe 0.352 0.352 0.352
5 Fe 0.854 0.854 0.854
6 Sb 0.646 0.646 0.646
7 P 0.043 0.753 0.457
8 P 0.249 0.541 0.961
9 P 0.457 0.043 0.753
10 P 0.541 0.961 0.249
11 P 0.753 0.457 0.043
12 P 0.961 0.249 0.541
13 O 0.002 0.799 0.620
14 O 0.064 0.917 0.268
15 O 0.089 0.732 0.929
16 O 0.118 0.298 0.510
17 O 0.212 0.379 0.986
18 O 0.223 0.578 0.444
19 O 0.268 0.064 0.917
20 O 0.298 0.510 0.118
21 O 0.379 0.986 0.212
22 O 0.427 0.557 0.768
23 O 0.444 0.223 0.578
24 O 0.481 0.874 0.715
25 O 0.510 0.118 0.298
26 O 0.557 0.768 0.427
27 O 0.578 0.444 0.223
28 O 0.620 0.002 0.799
29 O 0.715 0.481 0.874
30 O 0.732 0.929 0.089
31 O 0.768 0.427 0.557
32 O 0.799 0.620 0.002
33 O 0.874 0.715 0.481
34 O 0.917 0.268 0.064
35 O 0.929 0.089 0.732
36 O 0.986 0.212 0.379

Largest 10 diffraction maxima, in order of falling intensity, 5 to 70 degrees two-theta:
| d (Å) | 2θ/deg | I (rel.) |
| --- | --- | --- |
| 2.806 | 31.89 | 100 |
| 3.733 | 23.83 | 96 |
| 4.331 | 20.50 | 91 |
| 2.501 | 35.91 | 38 |
| 4.447 | 19.96 | 35 |
| 1.867 | 48.78 | 31 |
| 3.103 | 28.77 | 28 |
| 1.637 | 56.18 | 26 |
| 1.978 | 45.87 | 22 |
| 1.496 | 62.04 | 20 |